Structure and theoretical PXRD pattern of Cu4Te5Cl4O12 (a DFT-relaxed cell (GGA-PBE, the Materials Project); λ = 1.5418 Å (Cu Kα)).
Neutral-atom scattering factors, no anomalous dispersion.

Atomic structure:
a = 11.5667 Å, b = 11.5667 Å, c = 6.3964 Å
α = 90.00°, β = 90.00°, γ = 90.00°
Element x y z (fractional)
Cu 0.0931 0.7447 0.1500
Cu 0.2447 0.9069 0.8500
Cu 0.2553 0.5931 0.8500
Cu 0.4069 0.7553 0.1500
Cu 0.5931 0.2447 0.8500
Cu 0.7447 0.4069 0.1500
Cu 0.7553 0.0931 0.1500
Cu 0.9069 0.2553 0.8500
Te 0.0208 0.6768 0.6290
Te 0.1768 0.9792 0.3710
Te 0.2500 0.2500 0.1329
Te 0.3232 0.5208 0.3710
Te 0.4792 0.8232 0.6290
Te 0.5208 0.1768 0.3710
Te 0.6768 0.4792 0.6290
Te 0.7500 0.7500 0.8671
Te 0.8232 0.0208 0.6290
Te 0.9792 0.3232 0.3710
Cl 0.0537 0.3826 0.8273
Cl 0.1174 0.0537 0.8273
Cl 0.3826 0.4463 0.8273
Cl 0.4463 0.1174 0.8273
Cl 0.5537 0.8826 0.1727
Cl 0.6174 0.5537 0.1727
Cl 0.8826 0.9463 0.1727
Cl 0.9463 0.6174 0.1727
O 0.0770 0.7915 0.4410
O 0.0961 0.2123 0.2688
O 0.1279 0.7140 0.8554
O 0.2085 0.5770 0.5590
O 0.2123 0.4039 0.2688
O 0.2140 0.8721 0.1446
O 0.2860 0.6279 0.1446
O 0.2877 0.0961 0.2688
O 0.2915 0.9230 0.5590
O 0.3721 0.7860 0.8554
O 0.4039 0.2877 0.2688
O 0.4230 0.7085 0.4410
O 0.5770 0.2915 0.5590
O 0.5961 0.7123 0.7312
O 0.6279 0.2140 0.1446
O 0.7085 0.0770 0.4410
O 0.7123 0.9039 0.7312
O 0.7140 0.3721 0.8554
O 0.7860 0.1279 0.8554
O 0.7877 0.5961 0.7312
O 0.7915 0.4230 0.4410
O 0.8721 0.2860 0.1446
O 0.9039 0.7877 0.7312
O 0.9230 0.2085 0.5590

Most intense lines, 2θ from 10° to 80°, by angle:
15.83°, I 229
21.73°, I 200
22.10°, I 177
24.33°, I 588
25.86°, I 174
32.91°, I 1000
34.92°, I 290
41.51°, I 154
48.57°, I 161
60.00°, I 141

Structure and theoretical PXRD pattern of La6CuSb15 (a DFT-relaxed cell (GGA-PBE, the Materials Project); λ = 1.5418 Å (Cu Kα)).
Neutral-atom scattering factors, no anomalous dispersion.

Atomic structure:
a = 12.6915 Å, b = 12.6915 Å, c = 4.3541 Å
α = 99.71°, β = 99.71°, γ = 101.23°
Element x y z (fractional)
La 0.1318 0.8682 0.0000
La 0.1415 0.4085 0.2786
La 0.4085 0.1415 0.2786
La 0.4597 0.8119 0.1347
La 0.8119 0.4597 0.1347
La 0.8682 0.1318 0.0000
Cu 0.8766 0.8766 0.8859
Sb 0.0552 0.6510 0.3488
Sb 0.1432 0.1432 0.1819
Sb 0.2206 0.6231 0.9214
Sb 0.2842 0.2842 0.7908
Sb 0.3368 0.9377 0.6372
Sb 0.3840 0.5948 0.4846
Sb 0.5394 0.5394 0.0385
Sb 0.5948 0.3840 0.4846
Sb 0.6231 0.2206 0.9214
Sb 0.6510 0.0552 0.3488
Sb 0.6703 0.8905 0.7794
Sb 0.7319 0.7319 0.2263
Sb 0.8905 0.6703 0.7794
Sb 0.9377 0.3368 0.6372
Sb 0.9795 0.9795 0.4797

Most intense lines, 2θ from 10° to 80°, by angle:
24.67°, I 315
27.27°, I 171
28.23°, I 168
29.34°, I 192
30.67°, I 1000
31.90°, I 188
33.77°, I 681
33.90°, I 696
41.48°, I 405
43.66°, I 248

Structure and theoretical PXRD pattern of Sm2I2F (a DFT-relaxed cell (GGA-PBE, the Materials Project); λ = 1.5418 Å (Cu Kα)).
Neutral-atom scattering factors, no anomalous dispersion.

Atomic structure:
a = 4.0872 Å, b = 4.0872 Å, c = 14.3327 Å
α = 90.00°, β = 90.00°, γ = 90.00°
Element x y z (fractional)
Sm 0.0000 0.0000 0.1589
Sm 0.0000 0.0000 0.8411
I 0.0000 0.0000 0.3558
I 0.0000 0.0000 0.6442
F 0.0000 0.0000 0.0000

Most intense lines, 2θ from 10° to 80°, by angle:
21.74°, I 1000
24.85°, I 175
30.94°, I 410
33.25°, I 331
40.08°, I 198
43.90°, I 213
44.33°, I 151
49.50°, I 149
49.89°, I 212
56.52°, I 146

Structure and theoretical PXRD pattern of MgCu3AsS4 (a DFT-relaxed cell (GGA-PBE, the Materials Project); λ = 1.5418 Å (Cu Kα)).
Neutral-atom scattering factors, no anomalous dispersion.

Atomic structure:
a = 5.5924 Å, b = 5.5924 Å, c = 5.5924 Å
α = 90.00°, β = 90.00°, γ = 90.00°
Element x y z (fractional)
Mg 0.0000 0.0000 0.0000
Cu 0.0000 0.0000 0.5000
Cu 0.0000 0.5000 0.0000
Cu 0.5000 0.0000 0.0000
As 0.5000 0.5000 0.5000
S 0.2464 0.2464 0.7536
S 0.2464 0.7536 0.2464
S 0.7536 0.2464 0.2464
S 0.7536 0.7536 0.7536

Most intense lines, 2θ from 10° to 80°, by angle:
22.48°, I 35
27.63°, I 1000
32.01°, I 188
39.47°, I 16
45.90°, I 808
54.41°, I 411
57.05°, I 49
66.93°, I 121
73.87°, I 157
76.12°, I 57

Structure and theoretical PXRD pattern of TiZn2O4 (a DFT-relaxed cell (GGA-PBE, the Materials Project); λ = 1.5418 Å (Cu Kα)).
Neutral-atom scattering factors, no anomalous dispersion.

Atomic structure:
a = 6.0744 Å, b = 6.0744 Å, c = 12.8344 Å
α = 90.00°, β = 90.00°, γ = 90.00°
Element x y z (fractional)
Ti 0.0000 0.3463 0.0000
Ti 0.0000 0.6537 0.5000
Ti 0.3463 0.0000 0.2500
Ti 0.6537 0.0000 0.7500
Zn 0.0503 0.5000 0.2500
Zn 0.1386 0.1386 0.6250
Zn 0.1386 0.8614 0.8750
Zn 0.5000 0.0503 0.0000
Zn 0.5000 0.9497 0.5000
Zn 0.8614 0.1386 0.3750
Zn 0.8614 0.8614 0.1250
Zn 0.9497 0.5000 0.7500
O 0.0730 0.4559 0.6040
O 0.0730 0.5441 0.8960
O 0.1211 0.2017 0.2512
O 0.1211 0.7983 0.2488
O 0.2017 0.1211 0.9988
O 0.2017 0.8789 0.5012
O 0.4559 0.0730 0.6460
O 0.4559 0.9270 0.8540
O 0.5441 0.0730 0.3540
O 0.5441 0.9270 0.1460
O 0.7983 0.1211 0.0012
O 0.7983 0.8789 0.4988
O 0.8789 0.2017 0.7488
O 0.8789 0.7983 0.7512
O 0.9270 0.4559 0.3960
O 0.9270 0.5441 0.1040

Most intense lines, 2θ from 10° to 80°, by angle:
14.58°, I 1000
20.68°, I 680
25.47°, I 850
29.43°, I 369
33.72°, I 355
34.90°, I 380
35.90°, I 378
38.06°, I 253
47.32°, I 224
58.91°, I 240

Structure and theoretical PXRD pattern of Mg15Co (a DFT-relaxed cell (GGA-PBE, the Materials Project); λ = 1.5418 Å (Cu Kα)).
Neutral-atom scattering factors, no anomalous dispersion.

Atomic structure:
a = 6.2950 Å, b = 6.2950 Å, c = 9.9708 Å
α = 90.00°, β = 90.00°, γ = 120.00°
Element x y z (fractional)
Mg 0.0000 0.0000 0.0000
Mg 0.0041 0.5020 0.0000
Mg 0.1595 0.3191 0.2645
Mg 0.1595 0.3191 0.7355
Mg 0.1595 0.8405 0.2645
Mg 0.1595 0.8405 0.7355
Mg 0.4980 0.5020 0.0000
Mg 0.4980 0.9959 0.0000
Mg 0.5023 0.0045 0.5000
Mg 0.5023 0.4977 0.5000
Mg 0.6667 0.3333 0.2461
Mg 0.6667 0.3333 0.7539
Mg 0.6809 0.8405 0.2645
Mg 0.6809 0.8405 0.7355
Mg 0.9955 0.4977 0.5000
Co 0.0000 0.0000 0.5000

Most intense lines, 2θ from 10° to 80°, by angle:
16.26°, I 56
18.55°, I 67
32.86°, I 251
36.03°, I 243
37.61°, I 1000
49.55°, I 146
58.66°, I 171
65.82°, I 162
70.81°, I 178
71.80°, I 132

Structure and theoretical PXRD pattern of Zr5Sn3O (a DFT-relaxed cell (GGA-PBE, the Materials Project); λ = 1.5418 Å (Cu Kα)).
Neutral-atom scattering factors, no anomalous dispersion.

Atomic structure:
a = 8.4971 Å, b = 8.4971 Å, c = 5.7939 Å
α = 90.00°, β = 90.00°, γ = 120.00°
Element x y z (fractional)
Zr 0.0000 0.2292 0.2500
Zr 0.0000 0.7708 0.7500
Zr 0.2292 0.0000 0.2500
Zr 0.2292 0.2292 0.7500
Zr 0.3333 0.6667 0.0000
Zr 0.3333 0.6667 0.5000
Zr 0.6667 0.3333 0.0000
Zr 0.6667 0.3333 0.5000
Zr 0.7708 0.0000 0.7500
Zr 0.7708 0.7708 0.2500
Sn 0.0000 0.4026 0.7500
Sn 0.0000 0.5974 0.2500
Sn 0.4026 0.0000 0.7500
Sn 0.4026 0.4026 0.2500
Sn 0.5974 0.0000 0.2500
Sn 0.5974 0.5974 0.7500
O 0.0000 0.0000 0.0000
O 0.0000 0.0000 0.5000

Most intense lines, 2θ from 10° to 80°, by angle:
30.87°, I 181
32.18°, I 235
35.81°, I 1000
36.64°, I 298
37.58°, I 598
45.48°, I 117
47.22°, I 160
53.49°, I 111
58.15°, I 245
71.97°, I 211